CeSc5In4: theoretical PXRD pattern (CuKα), based on a PBE-relaxed structure.

Main lines, by angle (15° ≤ 2θ ≤ 90°):
d (Å)  I (rel.)  (hkl)
4.312  372  0 1 0
2.646  1000  0 1 5
2.592  987  1 1 0
2.331  691  1 0 5
2.156  285  0 2 0
1.583  393  1 2 5

Cell and atoms:
```
data_CeSc5In4
_chemical_formula_sum 'Ce1 Sc5 In4'
_symmetry_space_group_name_H-M 'P m m m'
_symmetry_Int_Tables_number 47
_cell_length_a 3.244
_cell_length_b 4.312
_cell_length_c 16.756
_cell_angle_alpha 90.00
_cell_angle_beta 90.00
_cell_angle_gamma 90.00
loop_
_symmetry_equiv_pos_as_xyz
'x,y,z'
'-x,-y,-z'
'-x,-y,z'
'x,y,-z'
'x,-y,-z'
'-x,y,z'
'-x,y,-z'
'x,-y,z'
loop_
_atom_site_label
_atom_site_fract_x
_atom_site_fract_y
_atom_site_fract_z
Ce1 0.000 0.000 0.000
Sc1 0.500 0.500 0.113
Sc2 0.500 0.500 0.308
Sc3 0.500 0.500 0.500
In1 0.000 0.000 0.208
In2 0.000 0.000 0.404
```

---

Cs6CdO4: theoretical PXRD pattern (CuKα), based on a PBE-relaxed structure.

Main lines, by angle (15° ≤ 2θ ≤ 90°):
d (Å)  I (rel.)  (hkl)
3.717  448  2 0 1
3.316  230  1 0 2
2.987  1000  2 1 1
2.766  288  2 0 2
2.509  307  2 2 0
1.689  205  5 0 1

Cell and atoms:
```
data_Cs6CdO4
_chemical_formula_sum 'Cs12 Cd2 O8'
_symmetry_space_group_name_H-M 'P 63 m c'
_symmetry_Int_Tables_number 186
_symmetry_space_group_name_Hall 'P 6c -2c'
_cell_length_a 10.0362
_cell_length_b 10.0362
_cell_length_c 7.1737
_cell_angle_alpha 90.00
_cell_angle_beta 90.00
_cell_angle_gamma 120.00
loop_
_atom_site_label
_atom_site_fract_x
_atom_site_fract_y
_atom_site_fract_z
Cs1 0.0862 0.5431 0.0000
Cs2 0.1452 0.2904 0.3621
Cd1 0.3333 0.6667 0.6029
O1 0.2065 0.4130 0.7168
O2 0.3333 0.6667 0.2925
```